1.
Simulated PXRD pattern
Compound: CeY2F11
Radiation: Cu Kα
Structure: a structure optimized by DFT (PBE)

The 8 most intense peaks (2θ = 15–90°), in order of falling intensity:
| 2θ/deg | Rel. int. |
| --- | --- |
| 20.99 | 100 |
| 23.53 | 63 |
| 44.98 | 35 |
| 24.34 | 31 |
| 46.93 | 31 |
| 43.18 | 26 |
| 21.81 | 22 |
| 42.74 | 22 |

Cell and atoms:
a b c (Å): 8.6624 8.6624 8.6624
angles (deg): 122.32 107.28 99.70
Sites, in units of the cell vectors:
Ce1 0.2500 0.2500 0.0000
Ce2 0.7500 0.7500 0.0000
Y1 0.1907 0.6605 0.8512
Y2 0.3093 0.1605 0.4698
Y3 0.6907 0.8395 0.5302
Y4 0.8093 0.3395 0.1488
F1 0.0000 0.5000 0.5000
F2 0.0272 0.9568 0.2690
F3 0.0573 0.3409 0.1287
F4 0.1879 0.4568 0.9297
F5 0.1913 0.3909 0.5822
F6 0.2122 0.9286 0.8713
F7 0.2878 0.1591 0.7164
F8 0.3087 0.8909 0.1996
F9 0.3121 0.2418 0.2690
F10 0.4427 0.5714 0.2836
F11 0.4728 0.7418 0.9297
F12 0.5000 0.0000 0.5000
F13 0.5272 0.2582 0.0703
F14 0.5573 0.4286 0.7164
F15 0.6879 0.7582 0.7310
F16 0.6913 0.1091 0.8004
F17 0.7122 0.8409 0.2836
F18 0.7878 0.0714 0.1287
F19 0.8087 0.6091 0.4178
F20 0.8121 0.5432 0.0703
F21 0.9427 0.6591 0.8713
F22 0.9728 0.0432 0.7310

***

2.
Simulated PXRD pattern
Compound: Ce2Fe7
Radiation: Cu Kα
Structure: a structure optimized by DFT (PBE)

The 8 most intense peaks (2θ = 15–90°), in order of falling intensity:
| 2θ/deg | Rel. int. |
| --- | --- |
| 42.16 | 100 |
| 35.78 | 44 |
| 31.72 | 39 |
| 41.63 | 32 |
| 33.65 | 25 |
| 68.67 | 22 |
| 75.81 | 19 |
| 43.96 | 17 |

Cell and atoms:
a b c (Å): 12.6932 12.6932 12.6932
angles (deg): 22.81 22.81 22.81
Sites, in units of the cell vectors:
Ce1 0.0519 0.0519 0.0519
Ce2 0.1499 0.1499 0.1499
Ce3 0.8501 0.8501 0.8501
Ce4 0.9481 0.9481 0.9481
Fe1 0.0000 0.5000 0.5000
Fe2 0.1103 0.6093 0.6093
Fe3 0.2782 0.2782 0.2782
Fe4 0.3880 0.3880 0.3880
Fe5 0.3907 0.3907 0.8897
Fe6 0.3907 0.8897 0.3907
Fe7 0.5000 0.0000 0.5000
Fe8 0.5000 0.5000 0.0000
Fe9 0.5000 0.5000 0.5000
Fe10 0.6093 0.1103 0.6093
Fe11 0.6093 0.6093 0.1103
Fe12 0.6120 0.6120 0.6120
Fe13 0.7218 0.7218 0.7218
Fe14 0.8897 0.3907 0.3907

***

3.
Simulated PXRD pattern
Compound: Ce3Fe2
Radiation: Cu Kα
Structure: a structure optimized by DFT (PBE)

The 8 most intense peaks (2θ = 15–90°), in order of falling intensity:
| 2θ/deg | Rel. int. |
| --- | --- |
| 31.66 | 100 |
| 41.63 | 45 |
| 33.66 | 33 |
| 48.91 | 21 |
| 54.93 | 21 |
| 30.49 | 18 |
| 43.15 | 14 |
| 25.78 | 14 |

Cell and atoms:
a b c (Å): 6.9462 6.9462 6.9462
angles (deg): 55.34 55.34 55.34
Sites, in units of the cell vectors:
Ce1 0.1437 0.7500 0.3563
Ce2 0.2500 0.6437 0.8563
Ce3 0.3563 0.1437 0.7500
Ce4 0.6437 0.8563 0.2500
Ce5 0.7500 0.3563 0.1437
Ce6 0.8563 0.2500 0.6437
Fe1 0.1727 0.1727 0.1727
Fe2 0.3273 0.3273 0.3273
Fe3 0.6727 0.6727 0.6727
Fe4 0.8273 0.8273 0.8273

***

4.
Simulated PXRD pattern
Compound: Ce2Ga12Fe
Radiation: Cu Kα
Structure: a structure optimized by DFT (PBE)

The 8 most intense peaks (2θ = 15–90°), in order of falling intensity:
| 2θ/deg | Rel. int. |
| --- | --- |
| 31.88 | 100 |
| 42.50 | 59 |
| 31.11 | 48 |
| 40.68 | 45 |
| 37.77 | 26 |
| 53.59 | 24 |
| 46.14 | 21 |
| 41.71 | 21 |

Cell and atoms:
a b c (Å): 6.0165 6.0165 15.6017
angles (deg): 90.00 90.00 90.00
Sites, in units of the cell vectors:
Ce1 0.2500 0.7500 0.2385
Ce2 0.2500 0.7500 0.7615
Ce3 0.7500 0.2500 0.2385
Ce4 0.7500 0.2500 0.7615
Ga1 0.0002 0.9998 0.0832
Ga2 0.9998 0.0002 0.9168
Ga3 0.9998 0.4998 0.0832
Ga4 0.0002 0.5002 0.9168
Ga5 0.0798 0.5798 0.4298
Ga6 0.0798 0.9202 0.5702
Ga7 0.2500 0.2500 0.1863
Ga8 0.2500 0.2500 0.3423
Ga9 0.2500 0.2500 0.6577
Ga10 0.2500 0.2500 0.8137
Ga11 0.4202 0.5798 0.5702
Ga12 0.4202 0.9202 0.4298
Ga13 0.5002 0.0002 0.0832
Ga14 0.4998 0.9998 0.9168
Ga15 0.4998 0.5002 0.0832
Ga16 0.5002 0.4998 0.9168
Ga17 0.5798 0.0798 0.5702
Ga18 0.5798 0.4202 0.4298
Ga19 0.7500 0.7500 0.1863
Ga20 0.7500 0.7500 0.3423
Ga21 0.7500 0.7500 0.6577
Ga22 0.7500 0.7500 0.8137
Ga23 0.9202 0.0798 0.4298
Ga24 0.9202 0.4202 0.5702
Fe1 0.2500 0.7500 0.0000
Fe2 0.7500 0.2500 0.0000

***

5.
Simulated PXRD pattern
Compound: Ce4GaFe
Radiation: Cu Kα
Structure: a structure optimized by DFT (PBE)

The 8 most intense peaks (2θ = 15–90°), in order of falling intensity:
| 2θ/deg | Rel. int. |
| --- | --- |
| 36.50 | 100 |
| 32.20 | 65 |
| 35.04 | 58 |
| 31.43 | 43 |
| 36.77 | 36 |
| 32.52 | 33 |
| 38.05 | 22 |
| 24.62 | 19 |

Cell and atoms:
a b c (Å): 7.6332 7.6332 5.6353
angles (deg): 100.06 100.06 117.59
Sites, in units of the cell vectors:
Ce1 0.0904 0.6989 0.8999
Ce2 0.1900 0.3536 0.6771
Ce3 0.3011 0.9096 0.6001
Ce4 0.3536 0.1900 0.1771
Ce5 0.6464 0.8100 0.8229
Ce6 0.6989 0.0904 0.3999
Ce7 0.8100 0.6464 0.3229
Ce8 0.9096 0.3011 0.1001
Ga1 0.3838 0.6162 0.2500
Ga2 0.6162 0.3838 0.7500
Fe1 0.0208 0.9792 0.2500
Fe2 0.9792 0.0208 0.7500

***

6.
Simulated PXRD pattern
Compound: CeGa8Fe4
Radiation: Cu Kα
Structure: a structure optimized by DFT (PBE)

The 8 most intense peaks (2θ = 15–90°), in order of falling intensity:
| 2θ/deg | Rel. int. |
| --- | --- |
| 41.20 | 100 |
| 35.48 | 34 |
| 46.33 | 32 |
| 75.08 | 27 |
| 89.44 | 16 |
| 67.61 | 15 |
| 28.81 | 8 |
| 59.67 | 7 |

Cell and atoms:
a b c (Å): 6.6955 6.6955 6.6955
angles (deg): 98.20 98.20 135.62
Sites, in units of the cell vectors:
Ce1 0.0000 0.0000 0.0000
Ga1 0.0000 0.3432 0.3432
Ga2 0.0000 0.6568 0.6568
Ga3 0.2770 0.5000 0.7770
Ga4 0.3432 0.0000 0.3432
Ga5 0.5000 0.2770 0.7770
Ga6 0.5000 0.7230 0.2230
Ga7 0.6568 0.0000 0.6568
Ga8 0.7230 0.5000 0.2230
Fe1 0.0000 0.0000 0.5000
Fe2 0.0000 0.5000 0.0000
Fe3 0.5000 0.0000 0.0000
Fe4 0.5000 0.5000 0.5000

***

7.
Simulated PXRD pattern
Compound: CeGa3Fe3
Radiation: Cu Kα
Structure: a structure optimized by DFT (PBE)

The 8 most intense peaks (2θ = 15–90°), in order of falling intensity:
| 2θ/deg | Rel. int. |
| --- | --- |
| 33.50 | 100 |
| 52.23 | 55 |
| 27.22 | 43 |
| 56.14 | 21 |
| 80.23 | 15 |
| 63.49 | 15 |
| 83.44 | 13 |
| 66.98 | 13 |

Cell and atoms:
a b c (Å): 6.5531 6.5531 6.5531
angles (deg): 90.00 90.00 90.00
Sites, in units of the cell vectors:
Ce1 0.0000 0.0000 0.0000
Ce2 0.5000 0.5000 0.5000
Ga1 0.0000 0.2500 0.5000
Ga2 0.0000 0.7500 0.5000
Ga3 0.2500 0.5000 0.0000
Ga4 0.5000 0.0000 0.2500
Ga5 0.5000 0.0000 0.7500
Ga6 0.7500 0.5000 0.0000
Fe1 0.0000 0.5000 0.2500
Fe2 0.0000 0.5000 0.7500
Fe3 0.2500 0.0000 0.5000
Fe4 0.5000 0.2500 0.0000
Fe5 0.5000 0.7500 0.0000
Fe6 0.7500 0.0000 0.5000

***

8.
Simulated PXRD pattern
Compound: CeFe6Ge12
Radiation: Cu Kα
Structure: a structure optimized by DFT (PBE)

The 8 most intense peaks (2θ = 15–90°), in order of falling intensity:
| 2θ/deg | Rel. int. |
| --- | --- |
| 39.45 | 100 |
| 67.56 | 25 |
| 36.42 | 22 |
| 42.30 | 15 |
| 54.77 | 15 |
| 45.00 | 14 |
| 79.26 | 13 |
| 63.47 | 13 |

Cell and atoms:
a b c (Å): 7.4017 7.4017 7.4017
angles (deg): 109.47 109.47 109.47
Sites, in units of the cell vectors:
Ce1 0.0000 0.0000 0.0000
Fe1 0.1437 0.6437 0.5000
Fe2 0.3563 0.5000 0.8563
Fe3 0.5000 0.1437 0.6437
Fe4 0.5000 0.8563 0.3563
Fe5 0.6437 0.5000 0.1437
Fe6 0.8563 0.3563 0.5000
Ge1 0.1124 0.8207 0.2917
Ge2 0.1793 0.2917 0.4710
Ge3 0.1793 0.7083 0.8876
Ge4 0.2917 0.1124 0.8207
Ge5 0.2917 0.4710 0.1793
Ge6 0.4710 0.1793 0.2917
Ge7 0.5290 0.8207 0.7083
Ge8 0.7083 0.5290 0.8207
Ge9 0.7083 0.8876 0.1793
Ge10 0.8207 0.2917 0.1124
Ge11 0.8207 0.7083 0.5290
Ge12 0.8876 0.1793 0.7083

***

9.
Simulated PXRD pattern
Compound: Ce2Fe2Ge3
Radiation: Cu Kα
Structure: a structure optimized by DFT (PBE)

The 8 most intense peaks (2θ = 15–90°), in order of falling intensity:
| 2θ/deg | Rel. int. |
| --- | --- |
| 34.06 | 100 |
| 35.14 | 99 |
| 42.02 | 45 |
| 44.92 | 35 |
| 32.70 | 27 |
| 63.19 | 24 |
| 40.17 | 23 |
| 28.76 | 17 |

Cell and atoms:
a b c (Å): 9.2348 9.2348 6.7761
angles (deg): 90.00 90.00 153.07
Sites, in units of the cell vectors:
Ce1 0.0508 0.9492 0.7500
Ce2 0.1608 0.8392 0.2500
Ce3 0.8392 0.1608 0.7500
Ce4 0.9492 0.0508 0.2500
Fe1 0.3000 0.7000 0.0631
Fe2 0.3000 0.7000 0.4369
Fe3 0.7000 0.3000 0.5631
Fe4 0.7000 0.3000 0.9369
Ge1 0.2199 0.7801 0.7500
Ge2 0.4325 0.5675 0.5587
Ge3 0.4325 0.5675 0.9413
Ge4 0.5675 0.4325 0.0587
Ge5 0.5675 0.4325 0.4413
Ge6 0.7801 0.2199 0.2500

***

10.
Simulated PXRD pattern
Compound: CeFe3Ge3
Radiation: Cu Kα
Structure: a structure optimized by DFT (PBE)

The 8 most intense peaks (2θ = 15–90°), in order of falling intensity:
| 2θ/deg | Rel. int. |
| --- | --- |
| 33.75 | 100 |
| 52.65 | 55 |
| 27.42 | 43 |
| 56.60 | 21 |
| 80.95 | 15 |
| 64.01 | 15 |
| 84.20 | 13 |
| 67.54 | 13 |

Cell and atoms:
a b c (Å): 6.5048 6.5048 6.5048
angles (deg): 90.00 90.00 90.00
Sites, in units of the cell vectors:
Ce1 0.0000 0.0000 0.0000
Ce2 0.5000 0.5000 0.5000
Fe1 0.0000 0.2500 0.5000
Fe2 0.0000 0.7500 0.5000
Fe3 0.2500 0.5000 0.0000
Fe4 0.5000 0.0000 0.2500
Fe5 0.5000 0.0000 0.7500
Fe6 0.7500 0.5000 0.0000
Ge1 0.0000 0.5000 0.2500
Ge2 0.0000 0.5000 0.7500
Ge3 0.2500 0.0000 0.5000
Ge4 0.5000 0.2500 0.0000
Ge5 0.5000 0.7500 0.0000
Ge6 0.7500 0.0000 0.5000